1.
Diffraction record for La5Nd2Sc2. The powder XRD pattern is theoretical, not measured: it uses a structure optimized by DFT (PBE) and a wavelength of 1.5418 Å.
Intensities are scaled so that the largest is 100.

Largest 12 diffraction maxima, by angle, 2θ from 15° to 90°:
| 2θ (°) | Rel. int. | h k l |
| --- | --- | --- |
| 27.53 | 52.9 | 1 1 -1 |
| 28.87 | 39.6 | 3 1 0 |
| 30.53 | 100.0 | 6 0 -2 |
| 31.14 | 94.6 | 6 0 1 |
| 31.44 | 91.1 | 0 0 3 |
| 31.75 | 41.1 | 3 1 1 |
| 34.03 | 66.5 | 1 1 2 |
| 34.33 | 35.7 | 5 1 -1 |
| 52.22 | 27.8 | 0 2 0 |
| 61.71 | 26.4 | 6 2 -2 |
| 62.07 | 25.8 | 6 2 1 |
| 62.24 | 25.2 | 0 2 3 |

Structure:
abc: 20.2232 3.5032 8.7390
angles: 90.00 102.38 90.00
Space group C2/m (No. 12)
Unique sites:
La  0.0000  0.0000  0.0000 x2
La  0.1642  0.5000  0.9942 x4
La  0.2196  0.0000  0.6489 x4
Nd  0.0552  0.0000  0.6601 x4
Sc  0.0990  0.5000  0.3454 x4

=====

2.
Diffraction record for Tb2Sm7Th. The powder XRD pattern is theoretical, not measured: it uses a structure optimized by DFT (PBE) and a wavelength of 1.5418 Å.
Intensities are scaled so that the largest is 100.

Largest 12 diffraction maxima, by angle, 2θ from 15° to 90°:
| 2θ (°) | Rel. int. | h k l |
| --- | --- | --- |
| 25.91 | 13.4 | 0 2 4 |
| 29.54 | 9.6 | 1 0 3 |
| 30.21 | 33.6 | 0 4 0 |
| 31.77 | 24.6 | 0 0 6 |
| 33.24 | 100.0 | 1 2 3 |
| 44.41 | 19.7 | 0 4 6 |
| 50.87 | 7.9 | 2 0 0 |
| 55.61 | 24.0 | 1 6 3 |
| 57.54 | 14.6 | 1 2 9 |
| 60.31 | 9.5 | 2 4 0 |
| 69.79 | 10.3 | 2 4 6 |
| 74.63 | 9.3 | 1 6 9 |

Structure:
abc: 3.5903 11.8346 16.8999
angles: 90.00 90.00 90.00
Space group Immm (No. 71)
Unique sites:
Tb  0.0000  0.0000  0.1651 x4
Sm  0.0000  0.0000  0.5000 x2
Sm  0.0000  0.2515  0.3512 x8
Sm  0.0000  0.5000  0.1713 x4
Th  0.0000  0.5000  0.5000 x2

=====

3.
Diffraction record for Dy5Ga2Pt. The powder XRD pattern is theoretical, not measured: it uses a structure optimized by DFT (PBE) and a wavelength of 1.5418 Å.
Intensities are scaled so that the largest is 100.

Largest 12 diffraction maxima, by angle, 2θ from 15° to 90°:
| 2θ (°) | Rel. int. | h k l |
| --- | --- | --- |
| 27.77 | 15.4 | 2 1 1 |
| 29.65 | 32.4 | 1 1 4 |
| 32.72 | 100.0 | 2 1 3 |
| 34.41 | 85.3 | 2 0 4 |
| 36.48 | 12.5 | 0 0 6 |
| 38.69 | 55.0 | 3 1 0 |
| 51.42 | 11.3 | 2 1 7 |
| 54.69 | 20.0 | 4 1 3 |
| 55.85 | 14.2 | 4 2 0 |
| 58.81 | 20.5 | 3 3 4 |
| 64.39 | 12.8 | 3 1 8 |
| 69.98 | 13.3 | 5 1 4 |

Structure:
abc: 7.3596 7.3596 14.7798
angles: 90.00 90.00 90.00
Space group I4/mcm (No. 140)
Unique sites:
Dy  0.0000  0.0000  0.0000 x4
Dy  0.1728  0.3272  0.1498 x16
Ga  0.1210  0.3790  0.5000 x8
Pt  0.0000  0.0000  0.2500 x4

=====

4.
Diffraction record for Sm3Ag2Hg3. The powder XRD pattern is theoretical, not measured: it uses a structure optimized by DFT (PBE) and a wavelength of 1.5418 Å.
Intensities are scaled so that the largest is 100.

Largest 12 diffraction maxima, by angle, 2θ from 15° to 90°:
| 2θ (°) | Rel. int. | h k l |
| --- | --- | --- |
| 33.88 | 100.0 | 3 1 1 |
| 34.65 | 24.5 | 2 0 -2 |
| 36.43 | 18.3 | 8 0 0 |
| 46.08 | 11.2 | 0 2 0 |
| 51.06 | 7.0 | 6 0 2 |
| 51.26 | 6.8 | 10 0 -2 |
| 58.92 | 10.7 | 2 2 -2 |
| 60.12 | 8.6 | 8 2 0 |
| 61.55 | 9.0 | 1 1 3 |
| 61.68 | 8.8 | 7 1 -3 |
| 63.88 | 5.9 | 11 1 1 |
| 77.42 | 5.9 | 3 3 1 |

Structure:
abc: 20.3772 3.9393 5.1772
angles: 90.00 104.50 90.00
Space group C2/m (No. 12)
Unique sites:
Sm  0.0000  0.0000  0.0000 x2
Sm  0.1384  0.0000  0.6366 x4
Ag  0.2405  0.0000  0.2383 x4
Hg  0.0000  0.5000  0.5000 x2
Hg  0.1292  0.5000  0.1273 x4

=====

5.
Diffraction record for NaAc2AuO4. The powder XRD pattern is theoretical, not measured: it uses a structure optimized by DFT (PBE) and a wavelength of 1.5418 Å.
Intensities are scaled so that the largest is 100.

Largest 12 diffraction maxima, by angle, 2θ from 15° to 90°:
| 2θ (°) | Rel. int. | h k l |
| --- | --- | --- |
| 18.27 | 20.8 | 0 2 0 |
| 18.60 | 52.4 | 1 1 1 |
| 23.17 | 48.2 | 0 0 2 |
| 29.35 | 100.0 | 2 2 0 |
| 29.67 | 70.6 | 0 2 2 |
| 32.71 | 62.5 | 2 0 2 |
| 37.03 | 41.0 | 0 4 0 |
| 37.71 | 71.5 | 2 2 2 |
| 46.50 | 21.4 | 4 0 0 |
| 50.23 | 37.7 | 2 4 2 |
| 51.17 | 26.0 | 0 2 4 |
| 56.13 | 24.5 | 4 2 2 |

Structure:
abc: 7.8114 9.7105 7.6780
angles: 90.00 90.00 90.00
Space group Fmm2 (No. 42)
Unique sites:
Na  0.0000  0.0000  0.0000 x4
Ac  0.2500  0.2500  0.2455 x8
Au  0.0000  0.0000  0.3766 x4
O  0.0000  0.2389  0.0460 x8
O  0.2386  0.0000  0.8420 x8

=====

6.
Diffraction record for Ce2Zn3In. The powder XRD pattern is theoretical, not measured: it uses a structure optimized by DFT (PBE) and a wavelength of 1.5418 Å.
Intensities are scaled so that the largest is 100.

Largest 12 diffraction maxima, by angle, 2θ from 15° to 90°:
| 2θ (°) | Rel. int. | h k l |
| --- | --- | --- |
| 21.41 | 8.0 | 0 2 2 |
| 34.54 | 100.0 | 2 0 4 |
| 37.46 | 27.2 | 0 4 0 |
| 37.70 | 52.9 | 0 2 6 |
| 51.91 | 20.8 | 2 4 4 |
| 52.16 | 9.8 | 2 0 8 |
| 65.70 | 9.9 | 2 6 2 |
| 65.97 | 9.5 | 2 4 8 |
| 66.13 | 9.9 | 2 2 10 |
| 67.74 | 9.0 | 0 6 6 |
| 68.54 | 7.1 | 4 4 0 |
| 68.70 | 13.9 | 4 2 6 |

Structure:
abc: 6.6664 9.6035 16.4952
angles: 90.00 90.00 90.00
Space group Fmmm (No. 69)
Unique sites:
Ce  0.2108  0.0000  0.0000 x8
Ce  0.2500  0.2500  0.2500 x8
Zn  0.0000  0.0000  0.1663 x8
Zn  0.0000  0.2483  0.4198 x16
In  0.0000  0.0000  0.3381 x8